# Fe3OF5
Theoretical powder XRD pattern, CuKα. Input: a DFT-relaxed cell (PBE+U, the Materials Project).
Intensities are scaled so that the largest is 100.

Main lines, in order of rising 2θ (10 to 80 degrees two-theta):
d_spacing  I (rel.)
3.437  99
3.383  100
2.702  30
2.678  57
2.661  28
1.801  30
1.791  30
1.774  34
1.719  23
1.611  20

Cell and atoms:
a b c (Å): 4.8110 5.7669 8.1223
angles (deg): 86.50 89.56 89.17
Positions (direct):
Fe: 0.0000 0.0000 0.0000
Fe: 0.0034 0.3310 0.6625
Fe: 0.4693 0.8372 0.6919
Fe: 0.5000 0.5000 0.0000
Fe: 0.5307 0.1628 0.3081
Fe: 0.9966 0.6690 0.3375
O: 0.3000 0.8013 0.8938
O: 0.7000 0.1987 0.1062
F: 0.2052 0.3014 0.8893
F: 0.2069 0.9706 0.2472
F: 0.2078 0.6393 0.5665
F: 0.3000 0.4548 0.2521
F: 0.3100 0.1248 0.5634
F: 0.6900 0.8752 0.4366
F: 0.7000 0.5452 0.7479
F: 0.7922 0.3607 0.4335
F: 0.7931 0.0294 0.7528
F: 0.7948 0.6986 0.1107

# CrPHO5
Theoretical powder XRD pattern, CuKα. Input: a DFT-relaxed cell (PBE+U, the Materials Project).
Intensities are scaled so that the largest is 100.

Main lines, in order of rising 2θ (10 to 80 degrees two-theta):
d_spacing  I (rel.)
4.811  100
4.733  71
3.969  23
3.432  22
3.325  92
3.249  90
2.988  58
2.569  20
2.541  21
2.436  21

Cell and atoms:
a b c (Å): 5.2062 5.2126 7.2456
angles (deg): 105.97 108.88 99.35
Positions (direct):
Cr: 0.0000 0.0000 0.0000
Cr: 0.0000 0.0000 0.5000
P: 0.3254 0.6613 0.2734
P: 0.6746 0.3387 0.7266
H: 0.3454 0.0041 0.8225
H: 0.6546 0.9959 0.1775
O: 0.1098 0.6806 0.3773
O: 0.1354 0.9593 0.7678
O: 0.2710 0.3540 0.1379
O: 0.2970 0.8357 0.1271
O: 0.3704 0.2405 0.5644
O: 0.6296 0.7595 0.4356
O: 0.7030 0.1643 0.8729
O: 0.7290 0.6460 0.8621
O: 0.8646 0.0407 0.2322
O: 0.8902 0.3194 0.6227

# ZnFe2O4
Theoretical powder XRD pattern, CuKα. Input: a DFT-relaxed cell (PBE+U, the Materials Project).
Intensities are scaled so that the largest is 100.

Main lines, in order of rising 2θ (10 to 80 degrees two-theta):
d_spacing  I (rel.)
4.952  7
3.033  32
2.586  100
2.476  9
2.144  17
1.751  11
1.651  36
1.516  44
1.308  10
1.293  5

Cell and atoms:
a b c (Å): 6.0659 6.0659 14.8535
angles (deg): 90.00 90.00 120.00
Positions (direct):
Zn: 0.0000 0.0000 0.0000
Zn: 0.0000 0.0000 0.2444
Zn: 0.0000 0.0000 0.6222
Zn: 0.3333 0.6667 0.2883
Zn: 0.3333 0.6667 0.9150
Zn: 0.6667 0.3333 0.5787
Fe: 0.0040 0.5020 0.1238
Fe: 0.1639 0.3277 0.4568
Fe: 0.1639 0.8361 0.4568
Fe: 0.3333 0.6667 0.6659
Fe: 0.3356 0.1678 0.7905
Fe: 0.4980 0.5020 0.1238
Fe: 0.4980 0.9960 0.1238
Fe: 0.6667 0.3333 0.3346
Fe: 0.6667 0.3333 0.9586
Fe: 0.6723 0.8361 0.4568
Fe: 0.8322 0.1678 0.7905
Fe: 0.8322 0.6644 0.7905
O: 0.0000 0.0000 0.3814
O: 0.0000 0.0000 0.8615
O: 0.0156 0.5078 0.3788
O: 0.1605 0.3209 0.7120
O: 0.1605 0.8395 0.7120
O: 0.1775 0.3551 0.1982
O: 0.1775 0.8225 0.1982
O: 0.3105 0.1552 0.5324
O: 0.3333 0.6667 0.0484
O: 0.3333 0.6667 0.5336
O: 0.3632 0.1816 0.0430
O: 0.4922 0.5078 0.3788
O: 0.4922 0.9844 0.3788
O: 0.5143 0.0285 0.8693
O: 0.5143 0.4857 0.8693
O: 0.6449 0.8225 0.1982
O: 0.6667 0.3333 0.2022
O: 0.6667 0.3333 0.7158
O: 0.6791 0.8395 0.7120
O: 0.8184 0.1816 0.0430
O: 0.8184 0.6368 0.0430
O: 0.8448 0.1552 0.5324
O: 0.8448 0.6895 0.5324
O: 0.9715 0.4857 0.8693

# MnCr3Te2P6O24
Theoretical powder XRD pattern, CuKα. Input: a DFT-relaxed cell (PBE+U, the Materials Project).
Intensities are scaled so that the largest is 100.

Main lines, in order of rising 2θ (10 to 80 degrees two-theta):
d_spacing  I (rel.)
6.200  27
4.340  100
3.732  64
3.556  29
2.795  92
2.506  40
1.973  27
1.866  35
1.640  24
1.497  26

Cell and atoms:
a b c (Å): 8.8614 8.8614 8.8614
angles (deg): 58.65 58.65 58.65
Positions (direct):
Mn: 0.0000 0.0000 0.0000
Cr: 0.1970 0.1970 0.1970
Cr: 0.4919 0.4919 0.4919
Cr: 0.7000 0.7000 0.7000
Te: 0.3476 0.3476 0.3476
Te: 0.8537 0.8537 0.8537
P: 0.0945 0.3924 0.7997
P: 0.3070 0.8823 0.5896
P: 0.3925 0.7997 0.0945
P: 0.5896 0.3070 0.8823
P: 0.7997 0.0945 0.3925
P: 0.8823 0.5896 0.3070
O: 0.0461 0.2450 0.8143
O: 0.0772 0.4253 0.2815
O: 0.1039 0.9042 0.7558
O: 0.1423 0.3556 0.9605
O: 0.2450 0.8143 0.0461
O: 0.2634 0.4215 0.6054
O: 0.2815 0.0772 0.4253
O: 0.3393 0.7293 0.5361
O: 0.3556 0.9605 0.1423
O: 0.4215 0.6054 0.2634
O: 0.4253 0.2815 0.0772
O: 0.4540 0.8511 0.6521
O: 0.5361 0.3393 0.7293
O: 0.5891 0.7771 0.9301
O: 0.6054 0.2634 0.4215
O: 0.6521 0.4540 0.8511
O: 0.7293 0.5361 0.3393
O: 0.7558 0.1039 0.9042
O: 0.7771 0.9301 0.5891
O: 0.8143 0.0461 0.2450
O: 0.8511 0.6521 0.4540
O: 0.9042 0.7558 0.1039
O: 0.9301 0.5891 0.7771
O: 0.9605 0.1423 0.3556

# MgCr2Fe4O10
Theoretical powder XRD pattern, CuKα. Input: a DFT-relaxed cell (PBE+U, the Materials Project).
Intensities are scaled so that the largest is 100.

Main lines, in order of rising 2θ (10 to 80 degrees two-theta):
d_spacing  I (rel.)
5.026  32
3.615  88
2.924  27
2.768  100
2.534  36
2.444  40
2.243  39
2.003  23
1.937  51
1.587  33

Cell and atoms:
a b c (Å): 9.9487 5.3865 5.3865
angles (deg): 42.15 90.00 90.00
Positions (direct):
Mg: 0.0000 0.0000 0.0000
Cr: 0.0000 0.6967 0.6967
Cr: 0.5000 0.2885 0.2885
Fe: 0.1940 0.3461 0.3461
Fe: 0.3205 0.6148 0.6148
Fe: 0.6795 0.6148 0.6148
Fe: 0.8060 0.3461 0.3461
O: 0.0000 0.2155 0.2155
O: 0.1288 0.5423 0.5423
O: 0.1417 0.8377 0.8377
O: 0.3169 0.1796 0.1796
O: 0.3669 0.4337 0.4337
O: 0.5000 0.7249 0.7249
O: 0.6331 0.4337 0.4337
O: 0.6831 0.1796 0.1796
O: 0.8583 0.8377 0.8377
O: 0.8712 0.5423 0.5423

# Li4CrSbTe2O12
Theoretical powder XRD pattern, CuKα. Input: a DFT-relaxed cell (PBE+U, the Materials Project).
Intensities are scaled so that the largest is 100.

Main lines, in order of rising 2θ (10 to 80 degrees two-theta):
d_spacing  I (rel.)
3.733  100
2.700  38
2.583  24
2.242  8
2.124  14
1.866  18
1.700  27
1.641  16
1.513  15
1.492  8

Cell and atoms:
a b c (Å): 5.1655 5.4108 7.4819
angles (deg): 93.63 90.01 90.04
Positions (direct):
Li: 0.0000 0.0000 0.0000
Li: 0.0058 0.9922 0.5398
Li: 0.5004 0.4754 0.0017
Li: 0.5080 0.4464 0.5540
Cr: 0.0032 0.4234 0.8045
Sb: 0.5045 0.9158 0.3019
Te: 0.0036 0.4185 0.3041
Te: 0.5037 0.9161 0.8044
O: 0.1306 0.4015 0.0655
O: 0.1899 0.7232 0.3826
O: 0.1932 0.0920 0.7554
O: 0.3098 0.2243 0.3832
O: 0.3304 0.6020 0.7568
O: 0.3665 0.9025 0.0555
O: 0.6366 0.8974 0.5538
O: 0.6815 0.5868 0.2408
O: 0.6938 0.2122 0.8704
O: 0.7987 0.7270 0.8756
O: 0.8321 0.0932 0.2419
O: 0.8811 0.3900 0.5446

# Li9Mn2Co5O16
Theoretical powder XRD pattern, CuKα. Input: a DFT-relaxed cell (PBE+U, the Materials Project).
Intensities are scaled so that the largest is 100.

Main lines, in order of rising 2θ (10 to 80 degrees two-theta):
d_spacing  I (rel.)
4.855  100
2.523  14
2.500  13
2.477  13
2.108  29
2.080  28
2.059  27
1.918  9
1.485  8
1.475  8

Cell and atoms:
a b c (Å): 6.5904 6.6715 7.6921
angles (deg): 65.12 75.06 72.19
Positions (direct):
Li: 0.0000 0.0000 0.0000
Li: 0.0655 0.4238 0.6949
Li: 0.1916 0.3087 0.0588
Li: 0.3171 0.1831 0.4360
Li: 0.4325 0.0594 0.8177
Li: 0.5675 0.9406 0.1823
Li: 0.6829 0.8169 0.5640
Li: 0.8084 0.6913 0.9412
Li: 0.9345 0.5762 0.3051
Mn: 0.1228 0.8774 0.3720
Mn: 0.8772 0.1226 0.6280
Co: 0.2487 0.7563 0.7577
Co: 0.3686 0.6319 0.1223
Co: 0.5000 0.5000 0.5000
Co: 0.6314 0.3681 0.8777
Co: 0.7513 0.2437 0.2423
O: 0.0267 0.1927 0.3565
O: 0.1168 0.6506 0.0229
O: 0.1411 0.0891 0.7108
O: 0.2141 0.5602 0.4040
O: 0.2742 0.9557 0.1140
O: 0.3610 0.4133 0.7703
O: 0.3855 0.8347 0.4767
O: 0.4738 0.2914 0.1541
O: 0.5262 0.7086 0.8459
O: 0.6145 0.1653 0.5233
O: 0.6390 0.5867 0.2297
O: 0.7258 0.0443 0.8860
O: 0.7859 0.4398 0.5960
O: 0.8589 0.9109 0.2892
O: 0.8832 0.3494 0.9771
O: 0.9733 0.8073 0.6435

Repeat the third record exactly.
# ZnFe2O4
Theoretical powder XRD pattern, CuKα. Input: a DFT-relaxed cell (PBE+U, the Materials Project).
Intensities are scaled so that the largest is 100.

Main lines, in order of rising 2θ (10 to 80 degrees two-theta):
d_spacing  I (rel.)
4.952  7
3.033  32
2.586  100
2.476  9
2.144  17
1.751  11
1.651  36
1.516  44
1.308  10
1.293  5

Cell and atoms:
a b c (Å): 6.0659 6.0659 14.8535
angles (deg): 90.00 90.00 120.00
Positions (direct):
Zn: 0.0000 0.0000 0.0000
Zn: 0.0000 0.0000 0.2444
Zn: 0.0000 0.0000 0.6222
Zn: 0.3333 0.6667 0.2883
Zn: 0.3333 0.6667 0.9150
Zn: 0.6667 0.3333 0.5787
Fe: 0.0040 0.5020 0.1238
Fe: 0.1639 0.3277 0.4568
Fe: 0.1639 0.8361 0.4568
Fe: 0.3333 0.6667 0.6659
Fe: 0.3356 0.1678 0.7905
Fe: 0.4980 0.5020 0.1238
Fe: 0.4980 0.9960 0.1238
Fe: 0.6667 0.3333 0.3346
Fe: 0.6667 0.3333 0.9586
Fe: 0.6723 0.8361 0.4568
Fe: 0.8322 0.1678 0.7905
Fe: 0.8322 0.6644 0.7905
O: 0.0000 0.0000 0.3814
O: 0.0000 0.0000 0.8615
O: 0.0156 0.5078 0.3788
O: 0.1605 0.3209 0.7120
O: 0.1605 0.8395 0.7120
O: 0.1775 0.3551 0.1982
O: 0.1775 0.8225 0.1982
O: 0.3105 0.1552 0.5324
O: 0.3333 0.6667 0.0484
O: 0.3333 0.6667 0.5336
O: 0.3632 0.1816 0.0430
O: 0.4922 0.5078 0.3788
O: 0.4922 0.9844 0.3788
O: 0.5143 0.0285 0.8693
O: 0.5143 0.4857 0.8693
O: 0.6449 0.8225 0.1982
O: 0.6667 0.3333 0.2022
O: 0.6667 0.3333 0.7158
O: 0.6791 0.8395 0.7120
O: 0.8184 0.1816 0.0430
O: 0.8184 0.6368 0.0430
O: 0.8448 0.1552 0.5324
O: 0.8448 0.6895 0.5324
O: 0.9715 0.4857 0.8693

Question: Number 7 is which compound?
Answer: Li9Mn2Co5O16